Entry 1:
Theoretical powder X-ray diffraction pattern
Compound: NaNiO2
Radiation: Cu Kα
Structure: a cell relaxed with PBE+U
No peak broadening, texture or thermal motion is included.

Cell: 2.9988 2.9988 10.6790 Å, 90.00 90.00 120.00°
Space group P6_3/mmc (No. 194)
Inequivalent atoms, fractional coordinates:
Na: 0.3333 0.6667 0.2500
Ni: 0.0000 0.0000 0.0000
O: 0.3333 0.6667 0.5971

The 10 most intense peaks (15° ≤ 2θ ≤ 90°), by angle:
hkl, Position (°2θ), Rel. int.
0 0 2, 16.60, 78
0 0 4, 33.57, 20
1 0 0, 34.54, 17
1 0 2, 38.55, 100
1 0 3, 43.12, 31
1 0 4, 48.93, 39
1 1 0, 61.88, 30
1 0 6, 63.35, 32
1 1 4, 72.27, 13
2 0 2, 75.32, 12

Entry 2:
Theoretical powder X-ray diffraction pattern
Compound: Ni3P4O14
Radiation: Cu Kα
Structure: a cell relaxed with PBE+U
No peak broadening, texture or thermal motion is included.

Cell: 6.3412 8.5087 9.9933 Å, 108.55 93.17 91.89°
Space group P-1 (No. 2)
Inequivalent atoms, fractional coordinates:
Ni: 0.0000 0.0000 0.0000
Ni: 0.1456 0.6208 0.9397
Ni: 0.2009 0.6033 0.3693
Ni: 0.5000 0.0000 0.5000
P: 0.0190 0.7524 0.6831
P: 0.2285 0.9499 0.2766
P: 0.3122 0.3243 0.6970
P: 0.3417 0.2990 0.9940
O: 0.0394 0.0710 0.3299
O: 0.0900 0.7944 0.8417
O: 0.1096 0.4181 0.7359
O: 0.1692 0.4293 0.0335
O: 0.1702 0.8651 0.1191
O: 0.1773 0.3667 0.3568
O: 0.1870 0.6866 0.5811
O: 0.2356 0.8386 0.3711
O: 0.2640 0.1287 0.9938
O: 0.2750 0.1536 0.5846
O: 0.4020 0.2870 0.8364
O: 0.4425 0.0514 0.3215
O: 0.4522 0.6411 0.9176
O: 0.4860 0.4170 0.6479

The 10 most intense peaks (15° ≤ 2θ ≤ 90°), by angle:
hkl, Position (°2θ), Rel. int.
1 0 -1, 16.32, 39
1 1 -1, 18.39, 94
1 -1 1, 18.48, 67
1 2 -1, 25.65, 60
0 0 3, 28.32, 100
-1 2 1, 29.39, 53
2 1 0, 30.94, 71
0 3 -2, 32.64, 48
0 3 0, 33.36, 46
-2 1 2, 36.34, 38

Entry 3:
Theoretical powder X-ray diffraction pattern
Compound: Li4Co5O9F
Radiation: Cu Kα
Structure: a cell relaxed with PBE+U
No peak broadening, texture or thermal motion is included.

Cell: 2.8756 5.1338 13.0590 Å, 80.02 84.19 74.07°
Space group P1 (No. 1)
Inequivalent atoms, fractional coordinates:
Li: 0.0000 0.0000 0.0000
Li: 0.1917 0.0288 0.5810
Li: 0.5946 0.0229 0.7892
Li: 0.8035 0.0161 0.3732
Co: 0.0813 0.5521 0.2809
Co: 0.3043 0.5304 0.8785
Co: 0.4994 0.5192 0.4807
Co: 0.7075 0.4984 0.0773
Co: 0.9022 0.5287 0.6795
O: 0.0876 0.6946 0.1283
O: 0.1248 0.3036 0.4384
O: 0.2547 0.7649 0.7237
O: 0.3305 0.2987 0.0223
O: 0.4526 0.7411 0.3515
O: 0.5383 0.3061 0.6191
O: 0.6407 0.7601 0.9250
O: 0.8728 0.7326 0.5272
O: 0.9540 0.3038 0.8215
F: 0.7437 0.2666 0.2425

The 10 most intense peaks (15° ≤ 2θ ≤ 90°), by angle:
hkl, Position (°2θ), Rel. int.
0 1 0, 18.18, 100
0 0 5, 34.94, 15
1 0 -2, 36.14, 13
1 1 3, 36.46, 13
0 1 -5, 42.18, 24
-1 1 2, 43.70, 22
1 2 3, 44.11, 21
1 -1 3, 47.36, 13
1 0 -7, 62.36, 12
1 1 8, 62.86, 11

Entry 4:
Theoretical powder X-ray diffraction pattern
Compound: Eu2MgAg2W4O16
Radiation: Cu Kα
Structure: a cell relaxed with PBE+U
No peak broadening, texture or thermal motion is included.

Cell: 10.7604 11.5563 7.3697 Å, 90.00 128.19 90.00°
Space group C2/m (No. 12)
Inequivalent atoms, fractional coordinates:
Eu: 0.0000 0.2092 0.0000
Mg: 0.0000 0.5000 0.0000
Ag: 0.1930 0.0000 0.5212
W: 0.0000 0.3474 0.5000
W: 0.2430 0.5000 0.9773
O: 0.0120 0.5000 0.3293
O: 0.0406 0.0000 0.8343
O: 0.0463 0.2511 0.3575
O: 0.1759 0.3877 0.0908
O: 0.2250 0.3801 0.7631

The 10 most intense peaks (15° ≤ 2θ ≤ 90°), by angle:
hkl, Position (°2θ), Rel. int.
2 2 0, 26.12, 100
3 1 -1, 26.35, 18
2 2 -2, 28.81, 45
0 0 2, 30.89, 43
1 3 1, 33.08, 19
4 0 -2, 33.65, 13
2 4 -2, 39.70, 16
4 0 0, 42.77, 16
2 2 2, 50.51, 19
4 4 -3, 50.74, 14

Entry 5:
Theoretical powder X-ray diffraction pattern
Compound: CoP2O7
Radiation: Cu Kα
Structure: a cell relaxed with PBE+U
No peak broadening, texture or thermal motion is included.

Cell: 9.3525 7.9803 12.9290 Å, 90.00 109.52 90.00°
Space group C2/c (No. 15)
Inequivalent atoms, fractional coordinates:
Co: 0.1461 0.2317 0.1438
P: 0.1266 0.0409 0.9306
P: 0.1640 0.4152 0.3618
O: 0.0117 0.3975 0.3812
O: 0.0190 0.0400 0.1458
O: 0.0978 0.1975 0.9925
O: 0.1773 0.4068 0.8210
O: 0.1990 0.2675 0.2965
O: 0.2057 0.1001 0.5195
O: 0.2279 0.0827 0.8622

The 10 most intense peaks (15° ≤ 2θ ≤ 90°), by angle:
hkl, Position (°2θ), Rel. int.
1 1 1, 18.08, 100
1 1 -2, 18.41, 24
2 0 0, 20.15, 17
1 1 -3, 23.63, 26
0 0 4, 29.32, 30
2 2 -2, 30.49, 58
3 1 -1, 30.93, 32
2 2 2, 36.62, 17
3 3 -1, 44.89, 14
5 3 -3, 60.77, 11